[1]
# CeZr11O24
Computed powder XRD pattern, Cu Kα, 1.54184 Å. Input: the PBE geometry in the Materials Project.
Kinematic intensities with the Lorentz-polarization factor, no thermal factor.

Main lines, in order of rising 2θ (2θ from 5° to 70°):
hkl  Position (°2θ)  I/Imax
1 0 2  24.0  128
0 2 -1  27.5  1000
2 0 1  30.9  697
2 0 -2  33.4  209
0 2 2  33.8  124
2 -2 2  34.6  158
2 2 0  48.3  191
2 -4 0  49.1  238
4 -2 0  53.1  124
-3 1 4  54.2  185
2 2 3  58.6  96
4 -4 1  61.6  119

```
data_CeZr11O24
_symmetry_space_group_name_H-M 'P 1'
_symmetry_Int_Tables_number 1
_cell_length_a 6.901
_cell_length_b 7.483
_cell_length_c 9.743
_cell_angle_alpha 93.47
_cell_angle_beta 91.55
_cell_angle_gamma 116.31
loop_
_symmetry_equiv_pos_as_xyz
'x,y,z'
loop_
_atom_site_label
_atom_site_fract_x
_atom_site_fract_y
_atom_site_fract_z
Ce1 0.000 0.000 0.000
Zr1 0.153 0.345 0.735
Zr2 0.190 0.887 0.690
Zr3 0.294 0.119 0.381
Zr4 0.327 0.661 0.331
Zr5 0.490 0.008 0.074
Zr6 0.520 0.552 0.027
Zr7 0.622 0.783 0.707
Zr8 0.662 0.329 0.665
Zr9 0.820 0.677 0.405
Zr10 0.856 0.221 0.362
Zr11 0.953 0.451 0.043
O1 0.185 0.822 0.459
O2 0.191 0.342 0.960
O3 0.209 0.355 0.351
O4 0.231 0.043 0.170
O5 0.269 0.955 0.902
O6 0.270 0.648 0.712
O7 0.288 0.673 0.109
O8 0.298 0.184 0.611
O9 0.518 0.488 0.789
O10 0.526 0.995 0.300
O11 0.543 0.022 0.683
O12 0.552 0.709 0.497
O13 0.595 0.628 0.237
O14 0.597 0.312 0.047
O15 0.616 0.842 0.942
O16 0.624 0.341 0.440
O17 0.843 0.163 0.129
O18 0.856 0.662 0.628
O19 0.868 0.678 0.018
O20 0.884 0.374 0.831
O21 0.929 0.296 0.571
O22 0.939 0.982 0.382
O23 0.958 0.007 0.762
O24 0.962 0.517 0.280
```

=====

[2]
# Li2Mg3Ti6O16
Computed powder XRD pattern, Cu Kα, 1.54184 Å. Input: the PBE geometry in the Materials Project.
Kinematic intensities with the Lorentz-polarization factor, no thermal factor.

Main lines, in order of rising 2θ (2θ from 5° to 70°):
hkl  Position (°2θ)  I/Imax
1 0 1  14.8  414
1 1 1  18.1  934
2 0 -1  23.5  504
1 2 1  25.7  198
1 1 2  25.8  210
3 1 -1  35.1  967
1 1 3  35.2  454
4 0 0  42.7  1000
5 1 -1  56.4  277
1 5 1  56.5  272
4 0 -4  61.7  171
4 4 0  62.0  641

```
data_Li2Mg3Ti6O16
_symmetry_space_group_name_H-M 'P 1 21 1'
_symmetry_Int_Tables_number 4
_cell_length_a 8.470
_cell_length_b 8.475
_cell_length_c 8.472
_cell_angle_alpha 90.00
_cell_angle_beta 90.37
_cell_angle_gamma 90.00
loop_
_symmetry_equiv_pos_as_xyz
'x,y,z'
'-x,y+1/2,-z'
loop_
_atom_site_label
_atom_site_fract_x
_atom_site_fract_y
_atom_site_fract_z
Li1 0.126 0.000 0.126
Li2 0.247 0.129 0.502
Mg1 0.005 0.376 0.254
Mg2 0.253 0.623 0.004
Mg3 0.498 0.369 0.753
Ti1 0.119 0.249 0.877
Ti2 0.125 0.505 0.629
Ti3 0.135 0.761 0.382
Ti4 0.369 0.991 0.866
Ti5 0.377 0.240 0.140
Ti6 0.388 0.498 0.387
O1 0.105 0.745 0.138
O2 0.109 0.980 0.378
O3 0.110 0.264 0.642
O4 0.112 0.729 0.609
O5 0.130 0.487 0.857
O6 0.137 0.513 0.390
O7 0.140 0.254 0.105
O8 0.142 0.012 0.872
O9 0.353 0.731 0.358
O10 0.358 0.486 0.607
O11 0.360 0.235 0.887
O12 0.362 0.270 0.354
O13 0.380 0.019 0.112
O14 0.389 0.486 0.136
O15 0.392 0.770 0.889
O16 0.395 0.012 0.643
```

=====

[3]
# NaLaTiO4
Computed powder XRD pattern, Cu Kα, 1.54184 Å. Input: the PBE geometry in the Materials Project.
Kinematic intensities with the Lorentz-polarization factor, no thermal factor.

Main lines, in order of rising 2θ (2θ from 5° to 70°):
hkl  Position (°2θ)  I/Imax
0 0 1  6.7  1000
1 0 2  27.1  479
1 0 3  31.1  474
1 1 0  33.5  358
1 1 1  34.2  89
0 0 6  41.0  81
1 1 4  43.5  163
2 0 0  48.0  208
1 1 5  48.4  125
2 1 2  56.0  154
2 1 3  58.4  163
2 0 6  64.9  70

```
data_NaLaTiO4
_symmetry_space_group_name_H-M 'P 4/n m m'
_symmetry_Int_Tables_number 129
_cell_length_a 3.788
_cell_length_b 3.788
_cell_length_c 13.210
_cell_angle_alpha 90.00
_cell_angle_beta 90.00
_cell_angle_gamma 90.00
loop_
_symmetry_equiv_pos_as_xyz
'x,y,z'
'-x,-y,-z'
'-y+1/2,x,z'
'y+1/2,-x,-z'
'-x+1/2,-y+1/2,z'
'x+1/2,y+1/2,-z'
'y,-x+1/2,z'
'-y,x+1/2,-z'
'x+1/2,-y,-z'
'-x+1/2,y,z'
'-y,-x,-z'
'y,x,z'
'-x,y+1/2,-z'
'x,-y+1/2,z'
'y+1/2,x+1/2,-z'
'-y+1/2,-x+1/2,z'
loop_
_atom_site_label
_atom_site_fract_x
_atom_site_fract_y
_atom_site_fract_z
Na1 0.250 0.250 0.083
La1 0.250 0.250 0.391
Ti1 0.250 0.250 0.775
O1 0.250 0.250 0.569
O2 0.250 0.250 0.908
O3 0.250 0.750 0.261
```

=====

[4]
# Bi2IBr
Computed powder XRD pattern, Cu Kα, 1.54184 Å. Input: the PBE geometry in the Materials Project.
Kinematic intensities with the Lorentz-polarization factor, no thermal factor.

Main lines, in order of rising 2θ (2θ from 5° to 70°):
hkl  Position (°2θ)  I/Imax
0 0 3  8.6  339
2 0 1  12.3  370
2 0 2  13.6  238
2 0 3  15.3  176
2 0 -8  24.5  530
0 0 9  25.9  272
3 1 0  26.9  1000
2 0 8  27.1  208
3 1 -3  27.7  256
3 1 9  39.2  233
5 1 -8  41.1  192
0 2 0  41.4  255

```
data_Bi2IBr
_symmetry_space_group_name_H-M 'C 1 2/m 1'
_symmetry_Int_Tables_number 12
_cell_length_a 15.339
_cell_length_b 4.363
_cell_length_c 31.131
_cell_angle_alpha 90.00
_cell_angle_beta 96.84
_cell_angle_gamma 90.00
loop_
_symmetry_equiv_pos_as_xyz
'x,y,z'
'-x,-y,-z'
'-x,y,-z'
'x,-y,z'
'x+1/2,y+1/2,z'
'-x+1/2,-y+1/2,-z'
'-x+1/2,y+1/2,-z'
'x+1/2,-y+1/2,z'
loop_
_atom_site_label
_atom_site_fract_x
_atom_site_fract_y
_atom_site_fract_z
Bi1 0.002 0.000 0.330
Bi2 0.020 0.000 0.573
Bi3 0.116 0.500 0.905
Bi4 0.143 0.500 0.338
Bi5 0.151 0.500 0.239
Bi6 0.181 0.500 0.003
I1 0.019 0.000 0.074
I2 0.204 0.500 0.744
I3 0.243 0.000 0.875
Br1 0.024 0.000 0.215
Br2 0.105 0.500 0.454
Br3 0.148 0.500 0.596
```

=====

[5]
# Ag2GeO3
Computed powder XRD pattern, Cu Kα, 1.54184 Å. Input: the PBE geometry in the Materials Project.
Kinematic intensities with the Lorentz-polarization factor, no thermal factor.

Main lines, in order of rising 2θ (2θ from 5° to 70°):
hkl  Position (°2θ)  I/Imax
0 1 3  28.3  191
1 2 0  31.3  1000
1 0 3  31.6  781
1 2 1  32.5  217
1 1 3  34.1  347
0 2 3  35.8  514
2 0 0  37.8  150
2 2 2  49.2  135
0 4 0  51.2  167
2 2 3  53.1  250
0 1 6  53.7  129
1 4 3  61.4  188

```
data_Ag2GeO3
_symmetry_space_group_name_H-M 'P 21 21 21'
_symmetry_Int_Tables_number 19
_cell_length_a 4.755
_cell_length_b 7.141
_cell_length_c 10.552
_cell_angle_alpha 90.00
_cell_angle_beta 90.00
_cell_angle_gamma 90.00
loop_
_symmetry_equiv_pos_as_xyz
'x,y,z'
'-x+1/2,-y,z+1/2'
'x+1/2,-y+1/2,-z'
'-x,y+1/2,-z+1/2'
loop_
_atom_site_label
_atom_site_fract_x
_atom_site_fract_y
_atom_site_fract_z
Ag1 0.020 0.107 0.279
Ag2 0.096 0.122 0.624
Ge1 0.033 0.631 0.564
O1 0.127 0.914 0.961
O2 0.205 0.641 0.713
O3 0.217 0.324 0.939
```

=====

[6]
# GaFe3
Computed powder XRD pattern, Cu Kα, 1.54184 Å. Input: the PBE geometry in the Materials Project.
Kinematic intensities with the Lorentz-polarization factor, no thermal factor.

Main lines, in order of rising 2θ (2θ from 5° to 70°):
hkl  Position (°2θ)  I/Imax
1 1 1  26.7  8
2 2 0  44.3  1000
4 0 0  64.4  150

```
data_GaFe3
_symmetry_space_group_name_H-M 'F m -3 m'
_symmetry_Int_Tables_number 225
_symmetry_space_group_name_Hall '-F 4 2 3'
_cell_length_a 5.783
_cell_length_b 5.783
_cell_length_c 5.783
_cell_angle_alpha 90.00
_cell_angle_beta 90.00
_cell_angle_gamma 90.00
loop_
_atom_site_label
_atom_site_fract_x
_atom_site_fract_y
_atom_site_fract_z
Ga1 0.000 0.000 0.000
Fe1 0.000 0.000 0.500
Fe2 0.250 0.250 0.250
```

=====

[7]
# Re2Te4Cl22O
Computed powder XRD pattern, Cu Kα, 1.54184 Å. Input: the PBE geometry in the Materials Project.
Kinematic intensities with the Lorentz-polarization factor, no thermal factor.

Main lines, in order of rising 2θ (2θ from 5° to 70°):
hkl  Position (°2θ)  I/Imax
1 0 0  8.4  815
1 0 -2  10.2  364
0 0 2  10.6  366
0 1 1  10.7  888
1 1 -1  12.1  460
2 1 -2  18.1  595
1 1 2  18.7  1000
0 1 4  23.2  217
3 1 -2  24.6  343
3 0 0  25.3  219
0 3 1  28.7  273
4 0 0  34.0  252

```
data_Re2Te4Cl22O
_symmetry_space_group_name_H-M 'P 1 21/c 1'
_symmetry_Int_Tables_number 14
_cell_length_a 11.741
_cell_length_b 9.509
_cell_length_c 18.610
_cell_angle_alpha 90.00
_cell_angle_beta 116.00
_cell_angle_gamma 90.00
loop_
_symmetry_equiv_pos_as_xyz
'x,y,z'
'-x,-y,-z'
'-x,y+1/2,-z+1/2'
'x,-y+1/2,z+1/2'
loop_
_atom_site_label
_atom_site_fract_x
_atom_site_fract_y
_atom_site_fract_z
Re1 0.009 0.144 0.435
Te1 0.243 0.171 0.685
Te2 0.264 0.694 0.980
Cl1 0.016 0.177 0.854
Cl2 0.020 0.024 0.668
Cl3 0.042 0.193 0.039
Cl4 0.186 0.146 0.245
Cl5 0.218 0.677 0.120
Cl6 0.234 0.109 0.485
Cl7 0.299 0.560 0.496
Cl8 0.301 0.688 0.864
Cl9 0.358 0.052 0.807
Cl10 0.426 0.215 0.190
Cl11 0.472 0.640 0.068
O1 0.000 0.000 0.500
```

=====

[8]
# Sb2IrC3O3F13
Computed powder XRD pattern, Cu Kα, 1.54184 Å. Input: the PBE geometry in the Materials Project.
Kinematic intensities with the Lorentz-polarization factor, no thermal factor.

Main lines, in order of rising 2θ (2θ from 5° to 70°):
hkl  Position (°2θ)  I/Imax
0 1 1  11.2  1000
1 0 1  12.1  526
1 0 -1  15.3  229
0 0 2  17.8  355
1 0 2  18.5  517
2 0 0  21.1  473
0 2 0  21.3  590
0 2 2  22.4  225
1 0 -2  22.7  298
2 1 0  24.2  302
2 0 -2  30.8  249
1 1 4  33.0  229

```
data_Sb2IrC3O3F13
_symmetry_space_group_name_H-M 'P -1'
_symmetry_Int_Tables_number 2
_cell_length_a 8.661
_cell_length_b 8.934
_cell_length_c 10.913
_cell_angle_alpha 69.35
_cell_angle_beta 77.11
_cell_angle_gamma 88.47
loop_
_symmetry_equiv_pos_as_xyz
'x,y,z'
'-x,-y,-z'
loop_
_atom_site_label
_atom_site_fract_x
_atom_site_fract_y
_atom_site_fract_z
Sb1 0.179 0.252 0.139
Sb2 0.180 0.294 0.661
Ir1 0.281 0.802 0.204
C1 0.266 0.815 0.385
C2 0.301 0.799 0.018
C3 0.383 0.608 0.251
O1 0.262 0.826 0.486
O2 0.310 0.794 0.914
O3 0.447 0.492 0.279
F1 0.004 0.803 0.717
F2 0.045 0.299 0.016
F3 0.057 0.681 0.262
F4 0.099 0.164 0.583
F5 0.167 0.016 0.145
F6 0.169 0.116 0.823
F7 0.172 0.477 0.504
F8 0.202 0.466 0.132
F9 0.227 0.440 0.741
F10 0.308 0.170 0.266
F11 0.364 0.287 0.997
F12 0.399 0.273 0.593
F13 0.481 0.930 0.145
```